The following is a theoretical X-ray diffraction stick pattern of La2VZnO6. It was derived from a cell relaxed with GGA+U, using λ = 1.5418 Å (Cu Kα).

Main lines, sorted by position (5° ≤ 2θ ≤ 70°):
(1 1 -1), 2θ = 22.2°, 4.009 Å, I = 10
(0 2 0), 2θ = 31.1°, 2.872 Å, I = 18
(1 1 1), 2θ = 31.9°, 2.802 Å, I = 100
(2 2 -2), 2θ = 45.2°, 2.005 Å, I = 20
(0 0 4), 2θ = 46.3°, 1.960 Å, I = 11
(1 3 0), 2θ = 51.8°, 1.765 Å, I = 10
(1 3 1), 2θ = 55.9°, 1.644 Å, I = 10
(3 1 -1), 2θ = 56.9°, 1.619 Å, I = 17
(3 1 -5), 2θ = 57.0°, 1.615 Å, I = 9
(4 0 -4), 2θ = 66.8°, 1.400 Å, I = 8

Structural model:
a = 5.5992 Å, b = 5.7435 Å, c = 9.6165 Å
α = 90.00°, β = 125.37°, γ = 90.00°
Positions (direct):
1 La 0.2352 0.0475 0.2492
2 La 0.2352 0.4525 0.7492
3 La 0.7648 0.5475 0.2508
4 La 0.7648 0.9525 0.7508
5 V 0.5000 0.0000 0.0000
6 V 0.5000 0.5000 0.5000
7 Zn 0.0000 0.0000 0.5000
8 Zn 0.0000 0.5000 0.0000
9 O 0.1690 0.1991 0.9552
10 O 0.1690 0.3009 0.4552
11 O 0.2523 0.7146 0.9508
12 O 0.2523 0.7854 0.4508
13 O 0.3509 0.0222 0.7653
14 O 0.3509 0.4778 0.2653
15 O 0.6491 0.5222 0.7347
16 O 0.6491 0.9778 0.2347
17 O 0.7477 0.2146 0.5492
18 O 0.7477 0.2854 0.0492
19 O 0.8310 0.6991 0.5448
20 O 0.8310 0.8009 0.0448